Structure and computed powder diffractogram of LaPm4Y15 (DFT lattice parameters and positions (GGA-PBE); a wavelength of 1.5418 Å).
Neutral-atom scattering factors, no anomalous dispersion.

a = 5.0938 Å, b = 5.0938 Å, c = 25.3630 Å
α = 90.00°, β = 90.00°, γ = 90.00°
Space group P4/mmm (No. 123)
One atom of each set of equivalent atoms:
La 0.0000 0.0000 0.0000 x1
Pm 0.0000 0.0000 0.2004 x2
Pm 0.0000 0.0000 0.4002 x2
Y 0.0000 0.5000 0.1014 x4
Y 0.0000 0.5000 0.3005 x4
Y 0.0000 0.5000 0.5000 x2
Y 0.5000 0.5000 0.0000 x1
Y 0.5000 0.5000 0.2010 x2
Y 0.5000 0.5000 0.4001 x2

Main lines, by angle (2θ from 5° to 70°):
- 17.43°, rel. 5, (0 0 5)
- 24.75°, rel. 4, (1 1 0)
- 30.44°, rel. 100, (1 1 5)
- 35.24°, rel. 34, (2 0 0)
- 35.39°, rel. 17, (0 0 10)
- 50.69°, rel. 12, (2 2 0)
- 50.80°, rel. 23, (2 0 10)
- 60.28°, rel. 28, (3 1 5)
- 60.49°, rel. 14, (1 1 15)
- 63.34°, rel. 12, (2 2 10)

***

Structure and computed powder diffractogram of La3Pm5Y4 (DFT lattice parameters and positions (GGA-PBE); a wavelength of 1.5418 Å).
Neutral-atom scattering factors, no anomalous dispersion.

a = 16.3681 Å, b = 6.0644 Å, c = 9.4429 Å
α = 90.00°, β = 116.80°, γ = 90.00°
Space group C2/m (No. 12)
One atom of each set of equivalent atoms:
La 0.0000 0.0000 0.0000 x2
La 0.2067 0.5000 0.2251 x4
Pm 0.0000 0.5000 0.0000 x2
Pm 0.0762 0.0000 0.6988 x4
Pm 0.1729 0.0000 0.3903 x4
Y 0.0794 0.5000 0.4367 x4
Y 0.2078 0.5000 0.8720 x4

Main lines, by angle (2θ from 5° to 70°):
- 23.99°, rel. 24, (4 0 -2)
- 28.43°, rel. 33, (2 0 -3)
- 28.99°, rel. 34, (3 1 1)
- 29.46°, rel. 100, (0 2 0)
- 30.76°, rel. 43, (4 0 1)
- 31.21°, rel. 47, (5 1 -1)
- 31.94°, rel. 78, (5 1 -2)
- 33.11°, rel. 64, (1 1 -3)
- 41.40°, rel. 26, (2 2 -3)
- 43.11°, rel. 35, (4 2 1)

***

Structure and computed powder diffractogram of LaPm6Zn2 (DFT lattice parameters and positions (GGA-PBE); a wavelength of 1.5418 Å).
Neutral-atom scattering factors, no anomalous dispersion.

a = 12.7752 Å, b = 3.7477 Å, c = 12.1226 Å
α = 90.00°, β = 109.11°, γ = 90.00°
Space group C2/m (No. 12)
One atom of each set of equivalent atoms:
La 0.0000 0.0000 0.0000 x2
Pm 0.0261 0.0000 0.3291 x4
Pm 0.1861 0.5000 0.5881 x4
Pm 0.1897 0.5000 0.8740 x4
Zn 0.1530 0.5000 0.2095 x4

Main lines, by angle (2θ from 5° to 70°):
- 31.19°, rel. 26, (4 0 -3)
- 31.56°, rel. 25, (2 0 3)
- 32.62°, rel. 100, (1 1 -3)
- 44.85°, rel. 10, (2 0 -6)
- 47.23°, rel. 7, (5 1 -4)
- 48.59°, rel. 9, (0 2 0)
- 56.84°, rel. 10, (1 1 6)
- 56.96°, rel. 8, (5 1 3)
- 58.89°, rel. 12, (4 2 -3)
- 59.10°, rel. 12, (2 2 3)

***

Structure and computed powder diffractogram of La5Pr4 (DFT lattice parameters and positions (GGA-PBE); a wavelength of 1.5418 Å).
Neutral-atom scattering factors, no anomalous dispersion.

a = 11.7769 Å, b = 15.8156 Å, c = 3.7258 Å
α = 90.00°, β = 108.36°, γ = 90.00°
Space group C2/m (No. 12)
One atom of each set of equivalent atoms:
La 0.0000 0.0000 0.0000 x2
La 0.0000 0.3336 0.0000 x4
La 0.1660 0.5000 0.6661 x4
Pr 0.1668 0.1669 0.6669 x8

Main lines, by angle (2θ from 5° to 70°):
- 29.35°, rel. 100, (3 3 0)
- 34.02°, rel. 51, (2 0 1)
- 48.88°, rel. 36, (6 0 0)
- 58.05°, rel. 44, (5 3 1)
- 60.89°, rel. 13, (6 6 0)

***

Structure and computed powder diffractogram of La3Pr5 (DFT lattice parameters and positions (GGA-PBE); a wavelength of 1.5418 Å).
Neutral-atom scattering factors, no anomalous dispersion.

a = 10.5832 Å, b = 10.4944 Å, c = 10.4943 Å
α = 90.00°, β = 90.00°, γ = 90.00°
Space group Amm2 (No. 38)
One atom of each set of equivalent atoms:
La 0.0000 0.0000 0.0000 x2
La 0.0000 0.2498 0.2503 x4
La 0.2494 0.0000 0.2505 x4
La 0.5000 0.0000 0.4994 x2
Pr 0.0000 0.0000 0.5009 x2
Pr 0.2508 0.2501 0.0004 x8
Pr 0.2517 0.0000 0.7503 x4
Pr 0.5000 0.0000 0.0011 x2
Pr 0.5000 0.2498 0.2506 x4

Main lines, by angle (2θ from 5° to 70°):
- 29.40°, rel. 100, (2 2 2)
- 33.88°, rel. 17, (4 0 0)
- 34.18°, rel. 34, (0 4 0)
- 48.89°, rel. 24, (4 4 0)
- 49.11°, rel. 12, (0 4 4)
- 57.89°, rel. 15, (6 2 2)
- 58.28°, rel. 29, (2 6 2)
- 61.00°, rel. 13, (4 4 4)

***

Structure and computed powder diffractogram of La2Pr5 (DFT lattice parameters and positions (GGA-PBE); a wavelength of 1.5418 Å).
Neutral-atom scattering factors, no anomalous dispersion.

a = 5.2729 Å, b = 6.4469 Å, c = 8.3326 Å
α = 97.37°, β = 90.06°, γ = 114.12°
Space group P-1 (No. 2)
One atom of each set of equivalent atoms:
La 0.2141 0.4281 0.1420 x2
Pr 0.0724 0.1447 0.7125 x2
Pr 0.3570 0.7141 0.5723 x2
Pr 0.5000 0.0000 0.0000 x1

Main lines, by angle (2θ from 5° to 70°):
- 29.36°, rel. 100, (1 0 2)
- 34.02°, rel. 34, (2 -1 0)
- 34.06°, rel. 17, (0 2 1)
- 48.89°, rel. 37, (2 1 1)
- 58.05°, rel. 33, (1 2 3)
- 58.12°, rel. 11, (1 3 0)
- 60.90°, rel. 9, (2 0 4)
- 60.96°, rel. 3, (2 -4 2)